# 1
Starting from a GGA+U-relaxed structure, the powder diffractogram of Li16Fe4SiO16 was calculated for Cu Kα, 1.54184 Å.
Kinematic intensities with the Lorentz-polarization factor, no thermal factor.

Atomic structure:
a = 5.4801 Å, b = 6.4074 Å, c = 10.9635 Å
α = 89.05°, β = 89.86°, γ = 89.55°
Space group P1 (No. 1)
Symmetry-distinct sites (fractional):
Li: 0.0000 0.0000 0.0000 (multiplicity 1)
Li: 0.0006 0.2381 0.2217 (multiplicity 1)
Li: 0.1403 0.6991 0.4740 (multiplicity 1)
Li: 0.2204 0.4164 0.8267 (multiplicity 1)
Li: 0.2244 0.0275 0.8236 (multiplicity 1)
Li: 0.2741 0.4974 0.3088 (multiplicity 1)
Li: 0.2903 0.7205 0.0606 (multiplicity 1)
Li: 0.5216 0.7100 0.5834 (multiplicity 1)
Li: 0.5642 0.4931 0.8074 (multiplicity 1)
Li: 0.5678 0.9624 0.7802 (multiplicity 1)
Li: 0.6233 0.3213 0.3489 (multiplicity 1)
Li: 0.6749 0.7719 0.9585 (multiplicity 1)
Li: 0.8109 0.4705 0.5033 (multiplicity 1)
Li: 0.8233 0.9925 0.4946 (multiplicity 1)
Li: 0.8377 0.2314 0.7268 (multiplicity 1)
Li: 0.9684 0.4577 0.9974 (multiplicity 1)
Fe: 0.0027 0.7290 0.7324 (multiplicity 1)
Fe: 0.3041 0.2448 0.5643 (multiplicity 1)
Fe: 0.5034 0.2176 0.0532 (multiplicity 1)
Fe: 0.8286 0.7291 0.2365 (multiplicity 1)
Si: 0.3357 0.9803 0.3143 (multiplicity 1)
O: 0.0371 0.9351 0.3272 (multiplicity 1)
O: 0.3527 0.7320 0.7368 (multiplicity 1)
O: 0.3726 0.2043 0.2378 (multiplicity 1)
O: 0.3821 0.4653 0.9790 (multiplicity 1)
O: 0.3879 0.9760 0.9754 (multiplicity 1)
O: 0.4231 0.4816 0.4723 (multiplicity 1)
O: 0.4264 0.2301 0.7266 (multiplicity 1)
O: 0.4510 0.0099 0.4532 (multiplicity 1)
O: 0.4655 0.7769 0.2470 (multiplicity 1)
O: 0.8379 0.2191 0.0779 (multiplicity 1)
O: 0.8685 0.7313 0.5739 (multiplicity 1)
O: 0.8921 0.9628 0.8253 (multiplicity 1)
O: 0.8967 0.4880 0.8208 (multiplicity 1)
O: 0.9176 0.4833 0.3218 (multiplicity 1)
O: 0.9323 0.7267 0.0780 (multiplicity 1)
O: 0.9669 0.2278 0.5635 (multiplicity 1)

Peak list (10 most intense, 2θ from 15° to 90°, low angle first)
| 2θ/deg | d_spacing | I/Imax | hkl |
| --- | --- | --- | --- |
| 18.09 | 4.904 | 28 | 1 0 1 |
| 21.21 | 4.190 | 76 | 1 1 0 |
| 21.47 | 4.140 | 93 | 0 1 -2 |
| 22.90 | 3.884 | 25 | 1 0 2 |
| 22.98 | 3.870 | 25 | 1 0 -2 |
| 27.85 | 3.203 | 21 | 0 2 0 |
| 32.13 | 2.786 | 27 | 0 2 2 |
| 32.51 | 2.754 | 20 | -1 1 3 |
| 32.66 | 2.742 | 100 | 2 0 0 |
| 33.43 | 2.681 | 20 | -1 2 1 |

***

# 2
Starting from a GGA+U-relaxed structure, the powder diffractogram of LiFeSiO4 was calculated for Cu Kα, 1.54184 Å.
Kinematic intensities with the Lorentz-polarization factor, no thermal factor.

Atomic structure:
a = 5.0546 Å, b = 5.6619 Å, c = 7.8754 Å
α = 90.00°, β = 129.25°, γ = 90.00°
Space group Pc (No. 7)
Symmetry-distinct sites (fractional):
Li: 0.0000 0.1626 0.0000 (multiplicity 2)
Fe: 0.2481 0.3393 0.7485 (multiplicity 2)
Si: 0.7470 0.3349 0.2516 (multiplicity 2)
O: 0.0354 0.1789 0.4739 (multiplicity 2)
O: 0.4027 0.3638 0.2312 (multiplicity 2)
O: 0.6342 0.2093 0.0244 (multiplicity 2)
O: 0.9010 0.3989 0.7723 (multiplicity 2)

Peak list (10 most intense, 2θ from 15° to 90°, low angle first)
| 2θ/deg | d_spacing | I/Imax | hkl |
| --- | --- | --- | --- |
| 15.65 | 5.662 | 62 | 0 1 0 |
| 23.60 | 3.771 | 100 | 1 1 -1 |
| 29.29 | 3.049 | 27 | 0 0 2 |
| 31.60 | 2.831 | 13 | 0 2 0 |
| 33.38 | 2.685 | 38 | 0 1 2 |
| 35.52 | 2.527 | 29 | 2 0 -2 |
| 36.37 | 2.470 | 15 | 1 2 -1 |
| 37.78 | 2.381 | 11 | 1 1 1 |
| 47.51 | 1.914 | 13 | 1 2 -3 |
| 57.42 | 1.605 | 18 | 0 3 2 |

***

# 3
Starting from a GGA+U-relaxed structure, the powder diffractogram of Li2Fe3Si2O8 was calculated for Cu Kα, 1.54184 Å.
Kinematic intensities with the Lorentz-polarization factor, no thermal factor.

Atomic structure:
a = 5.0632 Å, b = 8.9427 Å, c = 13.4485 Å
α = 108.48°, β = 99.32°, γ = 90.96°
Space group P1 (No. 1)
Symmetry-distinct sites (fractional):
Li: 0.0000 0.0000 0.0000 (multiplicity 1)
Li: 0.0252 0.7341 0.0787 (multiplicity 1)
Li: 0.1715 0.8675 0.3211 (multiplicity 1)
Li: 0.2765 0.9846 0.5808 (multiplicity 1)
Li: 0.8015 0.1599 0.6912 (multiplicity 1)
Li: 0.9297 0.2612 0.9082 (multiplicity 1)
Fe: 0.1390 0.1717 0.2582 (multiplicity 1)
Fe: 0.2354 0.5641 0.4118 (multiplicity 1)
Fe: 0.3941 0.3500 0.7626 (multiplicity 1)
Fe: 0.4674 0.7632 0.9132 (multiplicity 1)
Fe: 0.4737 0.2364 0.0553 (multiplicity 1)
Fe: 0.5565 0.6515 0.2169 (multiplicity 1)
Fe: 0.7446 0.0880 0.4088 (multiplicity 1)
Fe: 0.8186 0.8475 0.7159 (multiplicity 1)
Fe: 0.8318 0.5013 0.5682 (multiplicity 1)
Si: 0.0375 0.4396 0.1570 (multiplicity 1)
Si: 0.3013 0.2755 0.5086 (multiplicity 1)
Si: 0.3694 0.0430 0.8161 (multiplicity 1)
Si: 0.5711 0.9579 0.1563 (multiplicity 1)
Si: 0.7417 0.7917 0.4729 (multiplicity 1)
Si: 0.9226 0.5630 0.8242 (multiplicity 1)
O: 0.0203 0.3806 0.7944 (multiplicity 1)
O: 0.0753 0.3952 0.2701 (multiplicity 1)
O: 0.1027 0.6957 0.9293 (multiplicity 1)
O: 0.1240 0.9986 0.7121 (multiplicity 1)
O: 0.2229 0.1016 0.9225 (multiplicity 1)
O: 0.3320 0.4512 0.1219 (multiplicity 1)
O: 0.3527 0.1376 0.3968 (multiplicity 1)
O: 0.3664 0.0953 0.1404 (multiplicity 1)
O: 0.3747 0.8322 0.1831 (multiplicity 1)
O: 0.4253 0.4492 0.5113 (multiplicity 1)
O: 0.4361 0.2208 0.6088 (multiplicity 1)
O: 0.4803 0.7196 0.3729 (multiplicity 1)
O: 0.5510 0.8913 0.8203 (multiplicity 1)
O: 0.5876 0.1775 0.8111 (multiplicity 1)
O: 0.6154 0.5500 0.8479 (multiplicity 1)
O: 0.6153 0.8776 0.5798 (multiplicity 1)
O: 0.7184 0.8880 0.0522 (multiplicity 1)
O: 0.8237 0.0287 0.2571 (multiplicity 1)
O: 0.8573 0.2949 0.0602 (multiplicity 1)
O: 0.9224 0.6167 0.1806 (multiplicity 1)
O: 0.9235 0.6286 0.7213 (multiplicity 1)
O: 0.9268 0.6470 0.4864 (multiplicity 1)
O: 0.9437 0.9143 0.4446 (multiplicity 1)
O: 0.9737 0.2881 0.5020 (multiplicity 1)

Peak list (10 most intense, 2θ from 15° to 90°, low angle first)
| 2θ/deg | d_spacing | I/Imax | hkl |
| --- | --- | --- | --- |
| 20.35 | 4.364 | 46 | 0 1 -3 |
| 21.21 | 4.190 | 61 | 0 0 3 |
| 21.33 | 4.165 | 66 | 1 1 0 |
| 24.29 | 3.665 | 27 | 0 2 1 |
| 24.44 | 3.642 | 29 | 1 -1 2 |
| 25.12 | 3.545 | 26 | 1 1 -3 |
| 26.91 | 3.313 | 22 | 0 1 -4 |
| 34.71 | 2.585 | 100 | 1 -3 1 |
| 35.20 | 2.549 | 87 | -1 1 4 |
| 35.46 | 2.531 | 30 | 2 0 -1 |